Computed powder X-ray diffraction pattern of NdYAu4 for Cu Kα (weighted mean of Kα1 and Kα2), from a crystal structure in Alexandria, relaxed with PBE.

Atomic structure:
a b c (Å): 3.803 5.312 7.604
angles (deg): 69.98 75.62 69.21
Space group P-1 (No. 2)
One atom of each set of equivalent atoms:
1 Nd 0.000 0.000 0.000
2 Y 0.000 0.500 0.500
3 Au 0.334 0.994 0.339
4 Au 0.338 0.505 0.823

Peak list (10 most intense, 2θ from 10° to 90°, by intensity)
(hkl)  two_theta  I_rel
1 0 2  33.2  100
1 2 2  37.8  71
-1 1 1  37.6  36
0 1 3  37.5  36
2 -1 1  62.4  25
2 1 1  47.8  18
0 1 -3  47.6  18
1 1 5  62.1  16
2 0 4  69.8  12
0 3 3  60.5  9